The following is a theoretical X-ray diffraction stick pattern of KBH4. It was derived from DFT lattice parameters and positions (PBE), using copper Kα.

Crystal structure
a b c (Å): 8.208 4.870 4.973
angles (deg): 90.00 127.29 90.00
Space group C2 (No. 5)
One atom of each set of equivalent atoms:
K 0.000 0.000 0.000 x2
B 0.000 0.499 0.500 x2
H 0.110 0.642 0.753 x4
H 0.111 0.355 0.470 x4

Main lines, in order of falling intensity (10° ≤ 2θ ≤ 90°):
3.479 Å, 25.6 deg, rel. 100; 2.381 Å, 37.8 deg, rel. 57; 3.956 Å, 22.5 deg, rel. 40; 3.265 Å, 27.3 deg, rel. 39; 3.904 Å, 22.8 deg, rel. 39; 2.097 Å, 43.1 deg, rel. 18